The following is a simulated PXRD pattern of AlPbCl2. It was derived from a cell relaxed with PBE, using Cu Ka.

Largest 10 diffraction maxima, in order of rising 2θ, 2θ from 10° to 80°:
hkl  2θ (°)  I (rel.)
0 0 1  12.58  67
0 1 0  21.83  35
1 0 0  23.32  47
0 1 1  25.29  100
1 0 -1  26.06  28
1 0 1  27.10  35
0 1 2  33.67  48
1 1 -1  34.25  59
1 1 1  35.07  40
0 2 0  44.54  25

Crystal structure
```
data_AlPbCl2
_chemical_formula_sum 'Al1 Pb1 Cl2'
_cell_length_a 3.8181
_cell_length_b 4.0706
_cell_length_c 7.0427
_cell_angle_alpha 90.00
_cell_angle_beta 92.65
_cell_angle_gamma 90.00
_space_group_name_H-M_alt 'P 1 m 1'
_space_group_IT_number 6
_space_group_name_Hall 'P -2y'
loop_
_atom_site_label
_atom_site_fract_x
_atom_site_fract_y
_atom_site_fract_z
_atom_site_occupancy
Al1 0.0000 0.0000 0.0000 1
Pb1 0.1595 0.5000 0.6536 1
Cl1 0.1631 0.0000 0.3179 1
Cl2 0.6504 0.5000 0.0590 1
```